Record 1
The following is a computed powder diffraction line list of LiCe2Zr. It was derived from the PBE geometry in Alexandria, using copper Kα.
Kinematic intensities with the Lorentz-polarization factor, no thermal factor.

Main lines, in order of rising 2θ (10° ≤ 2θ ≤ 90°):
| 2θ/deg | intensity |
| --- | --- |
| 17.06 | 30 |
| 28.79 | 17 |
| 33.66 | 100 |
| 34.51 | 23 |
| 41.17 | 29 |
| 44.87 | 10 |
| 54.78 | 24 |
| 61.29 | 17 |
| 70.25 | 25 |
| 70.76 | 11 |

Atomic structure:
a = 3.1008 Å, b = 3.1008 Å, c = 10.3957 Å
α = 90.00°, β = 90.00°, γ = 90.00°
Fractional coordinates of all 4 atoms:
Li1 0.0000 0.0000 0.0000
Ce1 0.5000 0.5000 0.2557
Ce2 0.5000 0.5000 0.7443
Zr1 0.0000 0.0000 0.5000

=====

Record 2
The following is a computed powder diffraction line list of CePmLuMg. It was derived from the PBE geometry in Alexandria, using copper Kα.
Kinematic intensities with the Lorentz-polarization factor, no thermal factor.

Main lines, in order of rising 2θ (10° ≤ 2θ ≤ 90°):
| 2θ/deg | intensity |
| --- | --- |
| 19.73 | 21 |
| 22.82 | 4 |
| 32.49 | 100 |
| 38.30 | 12 |
| 46.61 | 18 |
| 51.08 | 5 |
| 57.96 | 38 |
| 68.04 | 12 |
| 77.44 | 16 |
| 86.51 | 4 |

Atomic structure:
a = 5.5116 Å, b = 5.5116 Å, c = 5.5116 Å
α = 60.00°, β = 60.00°, γ = 60.00°
Fractional coordinates of all 4 atoms:
Ce1 0.0000 0.0000 0.0000
Pm1 0.5000 0.5000 0.5000
Lu1 0.7500 0.7500 0.7500
Mg1 0.2500 0.2500 0.2500

=====

Record 3
The following is a computed powder diffraction line list of CeLuThMg. It was derived from the PBE geometry in Alexandria, using copper Kα.
Kinematic intensities with the Lorentz-polarization factor, no thermal factor.

Main lines, in order of rising 2θ (10° ≤ 2θ ≤ 90°):
| 2θ/deg | intensity |
| --- | --- |
| 19.88 | 28 |
| 32.75 | 100 |
| 38.61 | 16 |
| 46.99 | 18 |
| 51.50 | 7 |
| 58.46 | 39 |
| 62.39 | 6 |
| 68.64 | 12 |
| 72.27 | 6 |
| 78.16 | 17 |

Atomic structure:
a = 5.4691 Å, b = 5.4691 Å, c = 5.4691 Å
α = 60.00°, β = 60.00°, γ = 60.00°
Fractional coordinates of all 4 atoms:
Ce1 0.0000 0.0000 0.0000
Lu1 0.5000 0.5000 0.5000
Th1 0.7500 0.7500 0.7500
Mg1 0.2500 0.2500 0.2500

=====

Record 4
The following is a computed powder diffraction line list of Ce2LuSb. It was derived from the PBE geometry in Alexandria, using copper Kα.
Kinematic intensities with the Lorentz-polarization factor, no thermal factor.

Main lines, in order of rising 2θ (10° ≤ 2θ ≤ 90°):
| 2θ/deg | intensity |
| --- | --- |
| 33.06 | 100 |
| 35.28 | 21 |
| 39.82 | 30 |
| 54.24 | 24 |
| 57.59 | 10 |
| 61.91 | 16 |
| 68.03 | 25 |
| 69.37 | 12 |
| 88.08 | 6 |
| 89.61 | 12 |

Atomic structure:
a = 4.5270 Å, b = 4.5270 Å, c = 5.0882 Å
α = 90.00°, β = 90.00°, γ = 90.00°
Fractional coordinates of all 4 atoms:
Ce1 0.0000 0.5000 0.0000
Ce2 0.5000 0.0000 0.0000
Lu1 0.0000 0.0000 0.5000
Sb1 0.5000 0.5000 0.5000

=====

Record 5
The following is a computed powder diffraction line list of CeLu2Zr. It was derived from the PBE geometry in Alexandria, using copper Kα.
Kinematic intensities with the Lorentz-polarization factor, no thermal factor.

Main lines, in order of rising 2θ (10° ≤ 2θ ≤ 90°):
| 2θ/deg | intensity |
| --- | --- |
| 18.12 | 4 |
| 32.46 | 100 |
| 36.71 | 18 |
| 38.12 | 32 |
| 53.96 | 24 |
| 55.01 | 11 |
| 63.45 | 15 |
| 65.34 | 27 |
| 67.97 | 12 |
| 88.82 | 12 |

Atomic structure:
a = 4.7218 Å, b = 4.7218 Å, c = 4.8956 Å
α = 90.00°, β = 90.00°, γ = 90.00°
Fractional coordinates of all 4 atoms:
Ce1 0.0000 0.0000 0.0000
Lu1 0.0000 0.5000 0.5000
Lu2 0.5000 0.0000 0.5000
Zr1 0.5000 0.5000 0.0000

=====

Record 6
The following is a computed powder diffraction line list of Ce2Mg. It was derived from the PBE geometry in Alexandria, using copper Kα.
Kinematic intensities with the Lorentz-polarization factor, no thermal factor.

Main lines, in order of rising 2θ (10° ≤ 2θ ≤ 90°):
| 2θ/deg | intensity |
| --- | --- |
| 18.68 | 64 |
| 31.28 | 44 |
| 31.49 | 18 |
| 35.28 | 29 |
| 35.93 | 100 |
| 38.68 | 18 |
| 44.98 | 14 |
| 45.46 | 21 |
| 50.56 | 16 |
| 58.73 | 24 |

Atomic structure:
a = 8.6704 Å, b = 8.6704 Å, c = 5.7193 Å
α = 90.00°, β = 90.00°, γ = 158.82°
Fractional coordinates of all 6 atoms:
Ce1 0.0727 0.9273 0.7500
Ce2 0.2811 0.7189 0.2500
Ce3 0.7189 0.2811 0.7500
Ce4 0.9273 0.0727 0.2500
Mg1 0.3921 0.6079 0.7500
Mg2 0.6079 0.3921 0.2500

=====

Record 7
The following is a computed powder diffraction line list of Ce2Mg. It was derived from the PBE geometry in Alexandria, using copper Kα.
Kinematic intensities with the Lorentz-polarization factor, no thermal factor.

Main lines, in order of rising 2θ (10° ≤ 2θ ≤ 90°):
| 2θ/deg | intensity |
| --- | --- |
| 15.57 | 24 |
| 18.85 | 10 |
| 31.43 | 32 |
| 32.04 | 35 |
| 35.81 | 100 |
| 45.50 | 27 |
| 57.11 | 12 |
| 58.83 | 24 |
| 59.58 | 13 |
| 66.65 | 15 |

Atomic structure:
a = 5.6927 Å, b = 8.5322 Å, c = 8.5322 Å
α = 21.80°, β = 90.00°, γ = 90.00°
Fractional coordinates of all 6 atoms:
Ce1 0.0000 0.0000 0.0000
Ce2 0.0000 0.3225 0.3225
Ce3 0.0000 0.6562 0.6562
Ce4 0.5000 0.8516 0.8516
Mg1 0.5000 0.1827 0.1827
Mg2 0.5000 0.5315 0.5315

=====

Record 8
The following is a computed powder diffraction line list of CeMg11. It was derived from the PBE geometry in Alexandria, using copper Kα.
Kinematic intensities with the Lorentz-polarization factor, no thermal factor.

Main lines, in order of rising 2θ (10° ≤ 2θ ≤ 90°):
| 2θ/deg | intensity |
| --- | --- |
| 13.35 | 25 |
| 14.56 | 18 |
| 19.81 | 33 |
| 24.78 | 29 |
| 28.77 | 42 |
| 32.46 | 100 |
| 32.93 | 52 |
| 34.83 | 23 |
| 49.37 | 24 |
| 58.51 | 26 |

Atomic structure:
a = 9.4676 Å, b = 9.4676 Å, c = 9.4676 Å
α = 100.04°, β = 100.04°, γ = 130.63°
Fractional coordinates of all 24 atoms:
Ce1 0.3750 0.6250 0.7500
Ce2 0.6250 0.3750 0.2500
Mg1 0.0000 0.0000 0.0000
Mg2 0.0000 0.0000 0.5000
Mg3 0.0000 0.5000 0.0000
Mg4 0.1250 0.8750 0.2500
Mg5 0.1303 0.5538 0.3330
Mg6 0.1303 0.7973 0.5765
Mg7 0.2027 0.2792 0.3330
Mg8 0.2027 0.8697 0.9235
Mg9 0.2792 0.2027 0.8330
Mg10 0.2792 0.4462 0.0765
Mg11 0.4462 0.2792 0.5765
Mg12 0.4462 0.8697 0.1670
Mg13 0.5000 0.0000 0.5000
Mg14 0.5538 0.1303 0.8330
Mg15 0.5538 0.7208 0.4235
Mg16 0.7208 0.5538 0.9235
Mg17 0.7208 0.7973 0.1670
Mg18 0.7973 0.1303 0.0765
Mg19 0.7973 0.7208 0.6670
Mg20 0.8697 0.2027 0.4235
Mg21 0.8697 0.4462 0.6670
Mg22 0.8750 0.1250 0.7500

=====

Record 9
The following is a computed powder diffraction line list of Ce3Mg. It was derived from the PBE geometry in Alexandria, using copper Kα.
Kinematic intensities with the Lorentz-polarization factor, no thermal factor.

Main lines, in order of rising 2θ (10° ≤ 2θ ≤ 90°):
| 2θ/deg | intensity |
| --- | --- |
| 15.47 | 11 |
| 15.94 | 12 |
| 22.28 | 16 |
| 31.22 | 28 |
| 32.20 | 35 |
| 35.24 | 14 |
| 35.40 | 100 |
| 45.46 | 20 |
| 58.30 | 13 |
| 59.50 | 22 |

Atomic structure:
a = 3.2840 Å, b = 5.5605 Å, c = 5.7294 Å
α = 90.00°, β = 90.00°, γ = 90.00°
Fractional coordinates of all 4 atoms:
Ce1 0.0000 0.0000 0.0000
Ce2 0.0000 0.5000 0.4429
Ce3 0.5000 0.5000 0.9029
Mg1 0.5000 0.0000 0.5107

=====

Record 10
The following is a computed powder diffraction line list of CeMg15. It was derived from the PBE geometry in Alexandria, using copper Kα.
Kinematic intensities with the Lorentz-polarization factor, no thermal factor.

Main lines, in order of rising 2θ (10° ≤ 2θ ≤ 90°):
| 2θ/deg | intensity |
| --- | --- |
| 15.66 | 24 |
| 17.87 | 34 |
| 23.29 | 19 |
| 31.63 | 27 |
| 34.65 | 25 |
| 36.18 | 100 |
| 47.61 | 17 |
| 56.33 | 18 |
| 63.10 | 18 |
| 67.85 | 19 |

Atomic structure:
a = 6.5326 Å, b = 6.5326 Å, c = 10.3566 Å
α = 90.00°, β = 90.00°, γ = 120.00°
Fractional coordinates of all 16 atoms:
Ce1 0.0000 0.0000 0.0000
Mg1 0.0000 0.0000 0.5000
Mg2 0.0142 0.5071 0.0000
Mg3 0.1670 0.3340 0.2542
Mg4 0.1670 0.3340 0.7458
Mg5 0.1670 0.8330 0.2542
Mg6 0.1670 0.8330 0.7458
Mg7 0.4929 0.5071 0.0000
Mg8 0.4929 0.9858 0.0000
Mg9 0.5017 0.0033 0.5000
Mg10 0.5017 0.4983 0.5000
Mg11 0.6660 0.8330 0.2542
Mg12 0.6660 0.8330 0.7458
Mg13 0.6667 0.3333 0.2370
Mg14 0.6667 0.3333 0.7630
Mg15 0.9967 0.4983 0.5000

=====

Record 11
The following is a computed powder diffraction line list of Ce2Mg. It was derived from the PBE geometry in Alexandria, using copper Kα.
Kinematic intensities with the Lorentz-polarization factor, no thermal factor.

Main lines, in order of rising 2θ (10° ≤ 2θ ≤ 90°):
| 2θ/deg | intensity |
| --- | --- |
| 14.29 | 100 |
| 23.67 | 38 |
| 31.47 | 74 |
| 32.59 | 41 |
| 34.36 | 52 |
| 35.60 | 35 |
| 36.01 | 67 |
| 36.61 | 97 |
| 40.03 | 26 |
| 45.44 | 33 |

Atomic structure:
a = 6.6706 Å, b = 6.6706 Å, c = 7.9170 Å
α = 106.66°, β = 106.66°, γ = 27.12°
Fractional coordinates of all 6 atoms:
Ce1 0.1395 0.1395 0.0558
Ce2 0.2173 0.2173 0.6491
Ce3 0.7827 0.7827 0.3509
Ce4 0.8605 0.8605 0.9442
Mg1 0.4822 0.4822 0.6805
Mg2 0.5178 0.5178 0.3195

=====

Record 12
The following is a computed powder diffraction line list of Ce2Mg. It was derived from the PBE geometry in Alexandria, using copper Kα.
Kinematic intensities with the Lorentz-polarization factor, no thermal factor.

Main lines, in order of rising 2θ (10° ≤ 2θ ≤ 90°):
| 2θ/deg | intensity |
| --- | --- |
| 17.88 | 74 |
| 20.41 | 40 |
| 31.59 | 36 |
| 32.98 | 32 |
| 33.39 | 100 |
| 33.69 | 52 |
| 35.79 | 57 |
| 36.05 | 43 |
| 39.52 | 22 |
| 52.71 | 23 |

Atomic structure:
a = 5.6958 Å, b = 5.6958 Å, c = 6.1737 Å
α = 115.16°, β = 115.16°, γ = 66.15°
Fractional coordinates of all 6 atoms:
Ce1 0.0511 0.2474 0.2721
Ce2 0.2474 0.0511 0.7721
Ce3 0.7526 0.9489 0.2279
Ce4 0.9489 0.7526 0.7279
Mg1 0.4002 0.5998 0.2500
Mg2 0.5998 0.4002 0.7500